[1]
The following is a theoretical X-ray powder pattern of HoZn4Pd. It was derived from a cell relaxed with GGA-PBE, using Cu Ka.

Top 6 peaks for 5 to 70 degrees two-theta, most intense first:
2.576 Å, 34.83°, intensity 100; 2.461 Å, 36.51°, intensity 94; 2.166 Å, 41.70°, intensity 67; 2.775 Å, 32.26°, intensity 49; 1.949 Å, 46.59°, intensity 43; 2.217 Å, 40.71°, intensity 36

Crystal structure
Cell lengths 7.9012, 3.8989, 6.9277 Å; angles 90.00, 90.00, 90.00 degrees
Space group Pmma (No. 51)
One atom of each set of equivalent atoms:
1 Ho 0.2500 0.0000 0.1160 [2 per cell]
2 Zn 0.0000 0.0000 0.5000 [2 per cell]
3 Zn 0.0421 0.5000 0.8097 [4 per cell]
4 Zn 0.2500 0.5000 0.4451 [2 per cell]
5 Pd 0.2500 0.0000 0.7151 [2 per cell]

***

[2]
The following is a theoretical X-ray powder pattern of Ho3Zn2Pd8. It was derived from a cell relaxed with GGA-PBE, using Cu Ka.

Top 6 peaks for 5 to 70 degrees two-theta, most intense first:
2.304 Å, 39.09°, intensity 100; 2.695 Å, 33.25°, intensity 37; 2.356 Å, 38.19°, intensity 33; 2.222 Å, 40.59°, intensity 31; 2.166 Å, 41.69°, intensity 26; 1.347 Å, 69.81°, intensity 25

Crystal structure
Cell lengths 5.3891, 5.3891, 29.1483 Å; angles 90.00, 90.00, 120.00 degrees
Space group R-3m (No. 166, hexagonal axes)
One atom of each set of equivalent atoms:
1 Ho 0.0000 0.0000 0.0000 [3 per cell]
2 Ho 0.0000 0.0000 0.1908 [6 per cell]
3 Zn 0.0000 0.0000 0.3673 [6 per cell]
4 Pd 0.0000 0.0000 0.2848 [6 per cell]
5 Pd 0.0034 0.5017 0.7689 [18 per cell]

***

[3]
The following is a theoretical X-ray powder pattern of Ho2ZnPd4. It was derived from a cell relaxed with GGA-PBE, using Cu Ka.

Top 6 peaks for 5 to 70 degrees two-theta, most intense first:
2.320 Å, 38.81°, intensity 100; 2.403 Å, 37.43°, intensity 89; 2.975 Å, 30.04°, intensity 59; 3.281 Å, 27.18°, intensity 59; 2.411 Å, 37.29°, intensity 42; 1.652 Å, 55.64°, intensity 40

Crystal structure
Cell lengths 4.6402, 4.6402, 14.1123 Å; angles 90.00, 90.00, 90.00 degrees
Space group I4/mmm (No. 139)
One atom of each set of equivalent atoms:
1 Ho 0.0000 0.0000 0.1363 [4 per cell]
2 Zn 0.0000 0.0000 0.5000 [2 per cell]
3 Pd 0.0000 0.0000 0.3253 [4 per cell]
4 Pd 0.0000 0.5000 0.0000 [4 per cell]

***

[4]
The following is a theoretical X-ray powder pattern of Ho7Zn2Pd2. It was derived from a cell relaxed with GGA-PBE, using Cu Ka.

Top 6 peaks for 5 to 70 degrees two-theta, most intense first:
2.352 Å, 38.27°, intensity 100; 3.136 Å, 28.46°, intensity 71; 2.707 Å, 33.10°, intensity 60; 2.406 Å, 37.38°, intensity 45; 3.093 Å, 28.86°, intensity 44; 1.485 Å, 62.54°, intensity 32

Crystal structure
Cell lengths 7.6947, 10.8260, 7.1114 Å; angles 90.00, 90.00, 90.00 degrees
Space group Cmmm (No. 65)
One atom of each set of equivalent atoms:
1 Ho 0.0000 0.0000 0.0000 [2 per cell]
2 Ho 0.0000 0.5000 0.2611 [4 per cell]
3 Ho 0.2500 0.2500 0.2670 [8 per cell]
4 Zn 0.1677 0.0000 0.5000 [4 per cell]
5 Pd 0.0000 0.2925 0.0000 [4 per cell]

***

[5]
The following is a theoretical X-ray powder pattern of Ho4ZnPd3. It was derived from a cell relaxed with GGA-PBE, using Cu Ka.

Top 6 peaks for 5 to 70 degrees two-theta, most intense first:
2.774 Å, 32.27°, intensity 100; 2.232 Å, 40.41°, intensity 57; 2.269 Å, 39.72°, intensity 32; 2.658 Å, 33.72°, intensity 29; 2.563 Å, 35.00°, intensity 27; 2.294 Å, 39.28°, intensity 20

Crystal structure
Cell lengths 3.7122, 4.5382, 10.6319 Å; angles 90.00, 90.00, 90.00 degrees
Space group Pmm2 (No. 25)
One atom of each set of equivalent atoms:
1 Ho 0.0000 0.0000 0.0000 [1 per cell]
2 Ho 0.0000 0.5000 0.2710 [1 per cell]
3 Ho 0.5000 0.0000 0.4881 [1 per cell]
4 Ho 0.5000 0.5000 0.7751 [1 per cell]
5 Zn 0.0000 0.0000 0.7117 [1 per cell]
6 Pd 0.0000 0.5000 0.5569 [1 per cell]
7 Pd 0.5000 0.0000 0.2201 [1 per cell]
8 Pd 0.5000 0.5000 0.0478 [1 per cell]

***

[6]
The following is a theoretical X-ray powder pattern of Ho3Zn4Pd2. It was derived from a cell relaxed with GGA-PBE, using Cu Ka.

Top 6 peaks for 5 to 70 degrees two-theta, most intense first:
2.530 Å, 35.48°, intensity 100; 2.257 Å, 39.94°, intensity 79; 2.565 Å, 34.98°, intensity 72; 2.222 Å, 40.60°, intensity 45; 2.602 Å, 34.47°, intensity 31; 3.869 Å, 22.99°, intensity 20

Crystal structure
Cell lengths 10.5232, 4.4442, 8.4745 Å; angles 90.00, 116.42, 90.00 degrees
Space group C2/m (No. 12)
One atom of each set of equivalent atoms:
1 Ho 0.0000 0.0000 0.0000 [2 per cell]
2 Ho 0.1821 0.5000 0.6446 [4 per cell]
3 Zn 0.0265 0.0000 0.3677 [4 per cell]
4 Zn 0.2183 0.5000 0.0493 [4 per cell]
5 Pd 0.0938 0.5000 0.2608 [4 per cell]

***

[7]
The following is a theoretical X-ray powder pattern of Ho2Zn7Pd. It was derived from a cell relaxed with GGA-PBE, using Cu Ka.

Top 6 peaks for 5 to 70 degrees two-theta, most intense first:
2.537 Å, 35.39°, intensity 100; 2.729 Å, 32.82°, intensity 53; 2.016 Å, 44.98°, intensity 45; 1.947 Å, 46.64°, intensity 33; 1.401 Å, 66.80°, intensity 22; 1.621 Å, 56.79°, intensity 22

Crystal structure
Cell lengths 4.0311, 4.0311, 11.1211 Å; angles 90.00, 90.00, 90.00 degrees
Space group P-4m2 (No. 115)
One atom of each set of equivalent atoms:
1 Ho 0.0000 0.5000 0.2491 [2 per cell]
2 Zn 0.0000 0.0000 0.0000 [1 per cell]
3 Zn 0.0000 0.0000 0.5000 [1 per cell]
4 Zn 0.0000 0.5000 0.6393 [2 per cell]
5 Zn 0.0000 0.5000 0.8583 [2 per cell]
6 Zn 0.5000 0.5000 0.5000 [1 per cell]
7 Pd 0.5000 0.5000 0.0000 [1 per cell]

***

[8]
The following is a theoretical X-ray powder pattern of HoZn5Pd2. It was derived from a cell relaxed with GGA-PBE, using Cu Ka.

Top 6 peaks for 5 to 70 degrees two-theta, most intense first:
2.555 Å, 35.12°, intensity 100; 2.446 Å, 36.74°, intensity 96; 2.082 Å, 43.46°, intensity 89; 2.741 Å, 32.66°, intensity 78; 1.371 Å, 68.45°, intensity 44; 1.931 Å, 47.06°, intensity 41

Crystal structure
Cell lengths 3.6419, 7.6952, 9.9044 Å; angles 90.00, 90.00, 90.00 degrees
Space group Immm (No. 71)
One atom of each set of equivalent atoms:
1 Ho 0.0000 0.0000 0.0000 [2 per cell]
2 Zn 0.0000 0.1942 0.3613 [8 per cell]
3 Zn 0.0000 0.5000 0.0000 [2 per cell]
4 Pd 0.0000 0.5000 0.2619 [4 per cell]

***

[9]
The following is a theoretical X-ray powder pattern of HoZn6Pd2. It was derived from a cell relaxed with GGA-PBE, using Cu Ka.

Top 6 peaks for 5 to 70 degrees two-theta, most intense first:
2.440 Å, 36.84°, intensity 100; 2.232 Å, 40.41°, intensity 68; 2.850 Å, 31.38°, intensity 62; 1.995 Å, 45.45°, intensity 59; 1.816 Å, 50.23°, intensity 29; 2.337 Å, 38.52°, intensity 21

Crystal structure
Cell lengths 3.6325, 6.8297, 12.4363 Å; angles 90.00, 90.00, 90.00 degrees
Space group Immm (No. 71)
One atom of each set of equivalent atoms:
1 Ho 0.0000 0.0000 0.0000 [2 per cell]
2 Zn 0.0000 0.1744 0.5000 [4 per cell]
3 Zn 0.0000 0.3084 0.3151 [8 per cell]
4 Pd 0.0000 0.5000 0.1273 [4 per cell]

***

[10]
The following is a theoretical X-ray powder pattern of Pm5Ho3. It was derived from a cell relaxed with GGA-PBE, using Cu Ka.

Top 6 peaks for 5 to 70 degrees two-theta, most intense first:
2.941 Å, 30.39°, intensity 100; 2.552 Å, 35.17°, intensity 34; 1.538 Å, 60.17°, intensity 29; 1.799 Å, 50.74°, intensity 24; 2.537 Å, 35.38°, intensity 17; 1.532 Å, 60.44°, intensity 14

Crystal structure
Cell lengths 5.0746, 5.1061, 10.2011 Å; angles 90.00, 90.00, 90.00 degrees
Space group Pmmm (No. 47)
One atom of each set of equivalent atoms:
1 Pm 0.0000 0.0000 0.0000 [1 per cell]
2 Pm 0.0000 0.0000 0.5000 [1 per cell]
3 Pm 0.0000 0.5000 0.2481 [2 per cell]
4 Pm 0.5000 0.5000 0.5000 [1 per cell]
5 Ho 0.5000 0.0000 0.2481 [2 per cell]
6 Ho 0.5000 0.5000 0.0000 [1 per cell]

***

[11]
The following is a theoretical X-ray powder pattern of Pm3Ho. It was derived from a cell relaxed with GGA-PBE, using Cu Ka.

Top 6 peaks for 5 to 70 degrees two-theta, most intense first:
2.785 Å, 32.14°, intensity 100; 2.916 Å, 30.66°, intensity 25; 3.170 Å, 28.15°, intensity 24; 1.657 Å, 55.45°, intensity 21; 2.146 Å, 42.10°, intensity 16; 1.549 Å, 59.69°, intensity 15

Crystal structure
Cell lengths 3.6685, 11.6639, 6.3265 Å; angles 90.00, 90.00, 90.00 degrees
Space group Imm2 (No. 44)
One atom of each set of equivalent atoms:
1 Pm 0.0000 0.0000 0.0000 [2 per cell]
2 Pm 0.0000 0.2482 0.3331 [4 per cell]
3 Ho 0.0000 0.5000 0.0016 [2 per cell]

***

[12]
The following is a theoretical X-ray powder pattern of Pm6Ho5. It was derived from a cell relaxed with GGA-PBE, using Cu Ka.

Top 6 peaks for 5 to 70 degrees two-theta, most intense first:
2.839 Å, 31.51°, intensity 100; 2.698 Å, 33.21°, intensity 94; 2.965 Å, 30.14°, intensity 51; 2.997 Å, 29.81°, intensity 43; 1.617 Å, 56.96°, intensity 30; 1.726 Å, 53.06°, intensity 26

Crystal structure
Cell lengths 10.2489, 13.3539, 6.0635 Å; angles 90.00, 117.09, 90.00 degrees
Space group C2/m (No. 12)
One atom of each set of equivalent atoms:
1 Pm 0.1834 0.0000 0.0888 [4 per cell]
2 Pm 0.1855 0.1387 0.6082 [8 per cell]
3 Ho 0.0000 0.2331 0.0000 [4 per cell]
4 Ho 0.0000 0.3697 0.5000 [4 per cell]
5 Ho 0.0000 0.5000 0.0000 [2 per cell]